Entry 1:
For Ti2GaC, a DFT-relaxed cell (GGA-PBE, the Materials Project) gives the theoretical X-ray diffraction stick pattern in this record (copper Kα).
Neutral-atom scattering factors, no anomalous dispersion.

Structure:
```
Ti2GaC
1.0
3.080 0.000 0.000
-1.540 2.667 0.000
0.000 0.000 13.453
Ti Ga C
4 2 2
Direct
0.333 0.667 0.085 Ti
0.333 0.667 0.415 Ti
0.667 0.333 0.585 Ti
0.667 0.333 0.915 Ti
0.333 0.667 0.750 Ga
0.667 0.333 0.250 Ga
0.000 0.000 0.000 C
0.000 0.000 0.500 C
```

Largest 10 diffraction maxima, by intensity, 15° ≤ 2θ ≤ 90°:
d/Å  Rel. int.
2.292  1000
2.667  199
1.540  194
2.242  183
1.269  159
1.716  157
1.304  144
1.278  135
1.146  38
2.479  36

Entry 2:
For Zr2Fe, a DFT-relaxed cell (GGA-PBE, the Materials Project) gives the theoretical X-ray diffraction stick pattern in this record (copper Kα).
Neutral-atom scattering factors, no anomalous dispersion.

Structure:
```
Zr2Fe
1.0
-3.139 3.139 2.868
3.139 -3.139 2.868
3.139 3.139 -2.868
Zr Fe
4 2
Direct
0.178 0.678 0.857 Zr
0.322 0.178 0.500 Zr
0.678 0.822 0.500 Zr
0.822 0.322 0.143 Zr
0.250 0.250 0.000 Fe
0.750 0.750 0.000 Fe
```

Largest 10 diffraction maxima, by intensity, 15° ≤ 2θ ≤ 90°:
d/Å  Rel. int.
2.522  1000
2.117  522
1.472  276
1.985  266
1.580  229
2.409  226
1.315  191
2.219  169
2.868  168
1.191  135

Entry 3:
For La3Se4Cl, a DFT-relaxed cell (GGA-PBE, the Materials Project) gives the theoretical X-ray diffraction stick pattern in this record (copper Kα).
Neutral-atom scattering factors, no anomalous dispersion.

Structure:
```
La3Se4Cl
1.0
12.829 0.000 0.000
0.000 8.008 0.000
0.000 0.000 8.600
La Se Cl
12 16 4
Direct
0.010 0.080 0.000 La
0.175 0.515 0.747 La
0.181 0.527 0.248 La
0.319 0.027 0.748 La
0.325 0.015 0.247 La
0.490 0.580 0.500 La
0.510 0.420 0.000 La
0.675 0.985 0.747 La
0.681 0.973 0.248 La
0.819 0.473 0.748 La
0.825 0.485 0.247 La
0.990 0.920 0.500 La
0.001 0.465 0.002 Se
0.100 0.163 0.702 Se
0.188 0.826 0.998 Se
0.219 0.800 0.501 Se
0.281 0.300 0.001 Se
0.312 0.326 0.498 Se
0.400 0.663 0.202 Se
0.499 0.965 0.502 Se
0.501 0.035 0.002 Se
0.600 0.337 0.702 Se
0.688 0.674 0.998 Se
0.719 0.700 0.501 Se
0.781 0.200 0.001 Se
0.812 0.174 0.498 Se
0.900 0.837 0.202 Se
0.999 0.535 0.502 Se
0.102 0.161 0.290 Cl
0.398 0.661 0.790 Cl
0.602 0.339 0.290 Cl
0.898 0.839 0.790 Cl
```

Largest 10 diffraction maxima, by intensity, 15° ≤ 2θ ≤ 90°:
d/Å  Rel. int.
2.666  1000
2.836  454
2.571  453
3.772  405
2.150  384
2.124  375
2.857  331
3.572  317
2.614  296
1.417  281